The following is a computed powder X-ray diffraction pattern of Ba4NaF10. It was derived from a crystal structure in Alexandria, relaxed with GGA-PBE, using a wavelength of 1.5418 Å.

The 6 most intense peaks (2θ = 10–90°), by angle:
two_theta	I/Imax	hkl
24.88	100	0 1 5
26.28	35	0 0 15
29.21	27	1 0 10
40.88	52	1 1 0
42.68	25	0 1 20
49.25	30	1 1 15

Atomic structure:
```
data_Ba4NaF10
_cell_length_a 4.4151
_cell_length_b 4.4151
_cell_length_c 50.8918
_cell_angle_alpha 90.00
_cell_angle_beta 90.00
_cell_angle_gamma 120.00
_space_group_name_H-M_alt 'R -3 m'
_space_group_IT_number 166
_space_group_name_Hall '-R 3 2"'
loop_
_atom_site_label
_atom_site_type_symbol
_atom_site_fract_x
_atom_site_fract_y
_atom_site_fract_z
Ba1 Ba 0.0000 0.0000 0.1074
Ba2 Ba 0.0000 0.0000 0.2976
Na1 Na 0.0000 0.0000 0.5000
F1 F 0.0000 0.0000 0.0540
F2 F 0.0000 0.0000 0.1646
F3 F 0.0000 0.0000 0.2447
F4 F 0.0000 0.0000 0.3511
F5 F 0.0000 0.0000 0.4562
```